No. 1
Simulated PXRD pattern of GdY2Sn4Pb3 for Cu Kα, from the GGA-PBE geometry in OQMD.

Most intense lines, 2θ = 10–90°, in order of rising 2θ:
2θ = 32.7°, rel. 1000
2θ = 33.5°, rel. 214
2θ = 39.9°, rel. 151
2θ = 40.2°, rel. 149
2θ = 53.1°, rel. 131
2θ = 59.4°, rel. 145
2θ = 68.0°, rel. 126
2θ = 68.4°, rel. 124

Structural model:
```
data_GdY2Sn4Pb3
_chemical_formula_sum 'Gd2 Y4 Sn8 Pb6'
_symmetry_space_group_name_H-M 'C m m m'
_symmetry_Int_Tables_number 65
_symmetry_space_group_name_Hall '-C 2 2'
_cell_length_a 4.485
_cell_length_b 26.769
_cell_length_c 4.515
_cell_angle_alpha 90.00
_cell_angle_beta 90.00
_cell_angle_gamma 90.00
loop_
_atom_site_label
_atom_site_type_symbol
_atom_site_fract_x
_atom_site_fract_y
_atom_site_fract_z
Gd1 Gd 0.000 0.000 0.000
Y1 Y 0.000 0.308 0.500
Sn1 Sn 0.000 0.212 0.000
Sn2 Sn 0.000 0.402 0.000
Pb1 Pb 0.000 0.099 0.500
Pb2 Pb 0.000 0.500 0.500
```

No. 2
Simulated PXRD pattern of Tc2O7 for Cu Kα, from the GGA-PBE geometry in OQMD.

Most intense lines, 2θ = 10–90°, in order of rising 2θ:
2θ = 22.7°, rel. 1000
2θ = 24.0°, rel. 416
2θ = 25.5°, rel. 308
2θ = 26.8°, rel. 362
2θ = 30.4°, rel. 452
2θ = 30.7°, rel. 445
2θ = 39.7°, rel. 166
2θ = 45.4°, rel. 214

Structural model:
```
data_Tc2O7
_chemical_formula_sum 'Tc8 O28'
_symmetry_space_group_name_H-M 'P b c a'
_symmetry_Int_Tables_number 61
_symmetry_space_group_name_Hall '-P 2ac 2ab'
_cell_length_a 4.832
_cell_length_b 7.733
_cell_length_c 13.298
_cell_angle_alpha 90.00
_cell_angle_beta 90.00
_cell_angle_gamma 90.00
loop_
_atom_site_label
_atom_site_type_symbol
_atom_site_fract_x
_atom_site_fract_y
_atom_site_fract_z
Tc1 Tc 0.151 0.124 0.107
O1 O 0.000 0.000 0.000
O2 O 0.004 0.664 0.092
O3 O 0.007 0.679 0.883
O4 O 0.099 0.015 0.216
```

No. 3
Simulated PXRD pattern of Tb2BrNCl2 for Cu Kα, from the GGA-PBE geometry in OQMD.

Most intense lines, 2θ = 10–90°, in order of rising 2θ:
2θ = 11.2°, rel. 1000
2θ = 25.3°, rel. 263
2θ = 26.9°, rel. 480
2θ = 28.4°, rel. 469
2θ = 32.7°, rel. 344
2θ = 33.3°, rel. 288
2θ = 34.3°, rel. 380
2θ = 35.9°, rel. 268

Structural model:
```
data_Tb2BrNCl2
_chemical_formula_sum 'Tb8 Br4 N4 Cl8'
_symmetry_space_group_name_H-M 'C 1 2/m 1'
_symmetry_Int_Tables_number 12
_symmetry_space_group_name_Hall '-C 2y'
_cell_length_a 16.428
_cell_length_b 3.881
_cell_length_c 10.908
_cell_angle_alpha 90.00
_cell_angle_beta 121.08
_cell_angle_gamma 90.00
loop_
_atom_site_label
_atom_site_type_symbol
_atom_site_fract_x
_atom_site_fract_y
_atom_site_fract_z
Tb1 Tb 0.084 0.000 0.456
Tb2 Tb 0.135 0.500 0.786
Br1 Br 0.158 0.000 0.017
N1 N 0.075 0.000 0.655
Cl1 Cl 0.048 0.500 0.255
Cl2 Cl 0.218 0.500 0.610
```

No. 4
Simulated PXRD pattern of SbIrXeF12 for Cu Kα, from the GGA-PBE geometry in OQMD.

Most intense lines, 2θ = 10–90°, in order of rising 2θ:
2θ = 20.6°, rel. 608
2θ = 23.9°, rel. 342
2θ = 24.3°, rel. 1000
2θ = 27.2°, rel. 323
2θ = 30.4°, rel. 229
2θ = 33.9°, rel. 170
2θ = 42.3°, rel. 194
2θ = 46.3°, rel. 262

Structural model:
```
data_SbIrXeF12
_chemical_formula_sum 'Sb4 Ir4 Xe4 F48'
_symmetry_space_group_name_H-M 'C 1 c 1'
_symmetry_Int_Tables_number 9
_symmetry_space_group_name_Hall 'C -2yc'
_cell_length_a 5.490
_cell_length_b 19.691
_cell_length_c 7.441
_cell_angle_alpha 90.00
_cell_angle_beta 90.07
_cell_angle_gamma 90.00
loop_
_atom_site_label
_atom_site_type_symbol
_atom_site_fract_x
_atom_site_fract_y
_atom_site_fract_z
Sb1 Sb 0.000 0.078 0.000
Ir1 Ir 0.228 0.252 0.578
Xe1 Xe 0.004 0.411 0.004
F1 F 0.000 0.310 0.139
F2 F 0.004 0.017 0.480
F3 F 0.005 0.498 0.392
F4 F 0.231 0.079 0.187
F5 F 0.233 0.281 0.818
F6 F 0.244 0.098 0.830
F7 F 0.245 0.422 0.670
F8 F 0.250 0.222 0.340
F9 F 0.273 0.404 0.316
F10 F 0.482 0.186 0.020
F11 F 0.492 0.315 0.120
F12 F 0.498 0.318 0.531
```

No. 5
Simulated PXRD pattern of Rb2Gd2O5 for Cu Kα, from the GGA-PBE geometry in OQMD.

Most intense lines, 2θ = 10–90°, in order of rising 2θ:
2θ = 20.4°, rel. 122
2θ = 27.9°, rel. 1000
2θ = 28.9°, rel. 408
2θ = 38.3°, rel. 126
2θ = 41.4°, rel. 263
2θ = 48.7°, rel. 182
2θ = 50.7°, rel. 386
2θ = 57.7°, rel. 147

Structural model:
```
data_Rb2Gd2O5
_chemical_formula_sum 'Rb2 Gd2 O5'
_symmetry_space_group_name_H-M 'P 4/m m m'
_symmetry_Int_Tables_number 123
_symmetry_space_group_name_Hall '-P 4 2'
_cell_length_a 4.362
_cell_length_b 4.362
_cell_length_c 9.403
_cell_angle_alpha 90.00
_cell_angle_beta 90.00
_cell_angle_gamma 90.00
loop_
_atom_site_label
_atom_site_type_symbol
_atom_site_fract_x
_atom_site_fract_y
_atom_site_fract_z
Rb1 Rb 0.000 0.000 0.000
Rb2 Rb 0.000 0.000 0.500
Gd1 Gd 0.500 0.500 0.229
O1 O 0.000 0.500 0.288
O2 O 0.500 0.500 0.000
```

No. 6
Simulated PXRD pattern of KTe4PtAu3 for Cu Kα, from the GGA-PBE geometry in OQMD.

Most intense lines, 2θ = 10–90°, in order of rising 2θ:
2θ = 13.0°, rel. 759
2θ = 22.7°, rel. 637
2θ = 29.4°, rel. 164
2θ = 37.4°, rel. 1000
2θ = 39.8°, rel. 205
2θ = 44.2°, rel. 293
2θ = 48.3°, rel. 220
2θ = 67.6°, rel. 295

Structural model:
```
data_KTe4PtAu3
_chemical_formula_sum 'K1 Te4 Pt1 Au3'
_symmetry_space_group_name_H-M 'P -4 3 m'
_symmetry_Int_Tables_number 215
_symmetry_space_group_name_Hall 'P -4 2 3'
_cell_length_a 6.793
_cell_length_b 6.793
_cell_length_c 6.793
_cell_angle_alpha 90.00
_cell_angle_beta 90.00
_cell_angle_gamma 90.00
loop_
_atom_site_label
_atom_site_type_symbol
_atom_site_fract_x
_atom_site_fract_y
_atom_site_fract_z
K1 K 0.000 0.000 0.000
Te1 Te 0.280 0.280 0.280
Pt1 Pt 0.500 0.500 0.500
Au1 Au 0.000 0.500 0.500
```

No. 7
Simulated PXRD pattern of DyYInFe2 for Cu Kα, from the GGA-PBE geometry in OQMD.

Most intense lines, 2θ = 10–90°, in order of rising 2θ:
2θ = 30.7°, rel. 392
2θ = 33.3°, rel. 1000
2θ = 34.5°, rel. 797
2θ = 38.2°, rel. 232
2θ = 40.7°, rel. 313
2θ = 45.3°, rel. 249
2θ = 48.2°, rel. 207
2θ = 60.6°, rel. 301

Structural model:
```
data_DyYInFe2
_chemical_formula_sum 'Dy2 Y2 In2 Fe4'
_symmetry_space_group_name_H-M 'A m m 2'
_symmetry_Int_Tables_number 38
_symmetry_space_group_name_Hall 'A 2 -2'
_cell_length_a 4.005
_cell_length_b 3.778
_cell_length_c 13.683
_cell_angle_alpha 90.00
_cell_angle_beta 90.00
_cell_angle_gamma 90.00
loop_
_atom_site_label
_atom_site_type_symbol
_atom_site_fract_x
_atom_site_fract_y
_atom_site_fract_z
Dy1 Dy 0.000 0.000 0.000
Y1 Y 0.000 0.000 0.725
In1 In 0.500 0.000 0.362
Fe1 Fe 0.500 0.000 0.152
Fe2 Fe 0.500 0.000 0.570
```

No. 8
Simulated PXRD pattern of Cu2PtF8 for Cu Kα, from the GGA-PBE geometry in OQMD.

Most intense lines, 2θ = 10–90°, in order of rising 2θ:
2θ = 20.6°, rel. 586
2θ = 26.7°, rel. 1000
2θ = 31.9°, rel. 983
2θ = 43.7°, rel. 214
2θ = 44.0°, rel. 250
2θ = 50.5°, rel. 698
2θ = 55.0°, rel. 224
2θ = 65.0°, rel. 223

Structural model:
```
data_Cu2PtF8
_chemical_formula_sum 'Cu4 Pt2 F16'
_symmetry_space_group_name_H-M 'I -4'
_symmetry_Int_Tables_number 82
_symmetry_space_group_name_Hall 'I -4'
_cell_length_a 4.725
_cell_length_b 4.725
_cell_length_c 10.439
_cell_angle_alpha 90.00
_cell_angle_beta 90.00
_cell_angle_gamma 90.00
loop_
_atom_site_label
_atom_site_type_symbol
_atom_site_fract_x
_atom_site_fract_y
_atom_site_fract_z
Cu1 Cu 0.000 0.000 0.188
Pt1 Pt 0.000 0.000 0.500
F1 F 0.196 0.222 0.326
F2 F 0.201 0.757 0.927
```

No. 9
Simulated PXRD pattern of TbDyCu2As4 for Cu Kα, from the GGA-PBE geometry in OQMD.

Most intense lines, 2θ = 10–90°, in order of rising 2θ:
2θ = 24.5°, rel. 224
2θ = 29.1°, rel. 157
2θ = 35.7°, rel. 268
2θ = 36.4°, rel. 144
2θ = 37.2°, rel. 1000
2θ = 46.4°, rel. 346
2θ = 51.9°, rel. 164
2θ = 79.9°, rel. 210

Structural model:
```
data_TbDyCu2As4
_chemical_formula_sum 'Tb1 Dy1 Cu2 As4'
_symmetry_space_group_name_H-M 'P 4 m m'
_symmetry_Int_Tables_number 99
_symmetry_space_group_name_Hall 'P 4 -2'
_cell_length_a 3.915
_cell_length_b 3.915
_cell_length_c 9.863
_cell_angle_alpha 90.00
_cell_angle_beta 90.00
_cell_angle_gamma 90.00
loop_
_atom_site_label
_atom_site_type_symbol
_atom_site_fract_x
_atom_site_fract_y
_atom_site_fract_z
Tb1 Tb 0.000 0.000 0.000
Dy1 Dy 0.500 0.500 0.526
Cu1 Cu 0.000 0.500 0.263
As1 As 0.000 0.000 0.423
As2 As 0.000 0.500 0.762
As3 As 0.500 0.500 0.104
```

No. 10
Simulated PXRD pattern of PrNdAl4Ir2 for Cu Kα, from the GGA-PBE geometry in OQMD.

Most intense lines, 2θ = 10–90°, in order of rising 2θ:
2θ = 14.8°, rel. 1000
2θ = 29.9°, rel. 146
2θ = 30.7°, rel. 188
2θ = 31.5°, rel. 215
2θ = 35.0°, rel. 508
2θ = 36.5°, rel. 101
2θ = 40.5°, rel. 122
2θ = 44.0°, rel. 336

Structural model:
```
data_PrNdAl4Ir2
_chemical_formula_sum 'Pr2 Nd2 Al8 Ir4'
_symmetry_space_group_name_H-M 'A m m 2'
_symmetry_Int_Tables_number 38
_symmetry_space_group_name_Hall 'A 2 -2'
_cell_length_a 5.974
_cell_length_b 3.771
_cell_length_c 21.614
_cell_angle_alpha 90.00
_cell_angle_beta 90.00
_cell_angle_gamma 90.00
loop_
_atom_site_label
_atom_site_type_symbol
_atom_site_fract_x
_atom_site_fract_y
_atom_site_fract_z
Pr1 Pr 0.000 0.000 0.000
Nd1 Nd 0.000 0.000 0.178
Al1 Al 0.282 0.000 0.295
Al2 Al 0.282 0.000 0.882
Ir1 Ir 0.000 0.000 0.400
Ir2 Ir 0.000 0.000 0.777
```

No. 11
Simulated PXRD pattern of NdH7C8SO9 for Cu Kα, from the GGA-PBE geometry in OQMD.

Most intense lines, 2θ = 10–90°, in order of rising 2θ:
2θ = 15.1°, rel. 814
2θ = 15.5°, rel. 582
2θ = 15.9°, rel. 252
2θ = 18.6°, rel. 734
2θ = 20.6°, rel. 236
2θ = 21.6°, rel. 1000
2θ = 27.3°, rel. 252
2θ = 30.1°, rel. 475

Structural model:
```
data_NdH7C8SO9
_chemical_formula_sum 'Nd2 H14 C16 S2 O18'
_symmetry_space_group_name_H-M 'P -1'
_symmetry_Int_Tables_number 2
_symmetry_space_group_name_Hall '-P 1'
_cell_length_a 6.289
_cell_length_b 8.694
_cell_length_c 10.626
_cell_angle_alpha 91.51
_cell_angle_beta 99.61
_cell_angle_gamma 107.88
loop_
_atom_site_label
_atom_site_type_symbol
_atom_site_fract_x
_atom_site_fract_y
_atom_site_fract_z
Nd1 Nd 0.149 0.238 0.110
H1 H 0.178 0.151 0.555
H2 H 0.326 0.951 0.114
H3 H 0.339 0.647 0.783
H4 H 0.352 0.646 0.582
H5 H 0.389 0.590 0.358
H6 H 0.410 0.498 0.843
H7 H 0.452 0.907 0.818
C1 C 0.018 0.226 0.699
C2 C 0.026 0.769 0.655
C3 C 0.047 0.201 0.575
C4 C 0.084 0.752 0.527
C5 C 0.137 0.696 0.275
C6 C 0.162 0.652 0.142
C7 C 0.247 0.682 0.504
C8 C 0.269 0.651 0.378
S1 S 0.215 0.176 0.819
O1 O 0.094 0.046 0.893
O2 O 0.154 0.750 0.758
O3 O 0.159 0.203 0.339
O4 O 0.166 0.755 0.057
O5 O 0.179 0.514 0.120
O6 O 0.317 0.323 0.911
O7 O 0.372 0.131 0.752
O8 O 0.392 0.070 0.136
O9 O 0.463 0.597 0.797
```

No. 12
Simulated PXRD pattern of Au for Cu Kα, from the GGA-PBE geometry in OQMD.

Most intense lines, 2θ = 10–90°, in order of rising 2θ:
2θ = 34.1°, rel. 340
2θ = 38.2°, rel. 1000
2θ = 42.1°, rel. 770
2θ = 63.8°, rel. 228
2θ = 66.5°, rel. 404
2θ = 71.7°, rel. 163
2θ = 81.9°, rel. 117
2θ = 84.3°, rel. 220

Structural model:
```
data_Au
_chemical_formula_sum 'Au8'
_symmetry_space_group_name_H-M 'P m -3 n'
_symmetry_Int_Tables_number 223
_symmetry_space_group_name_Hall '-P 4n 2 3'
_cell_length_a 5.263
_cell_length_b 5.263
_cell_length_c 5.263
_cell_angle_alpha 90.00
_cell_angle_beta 90.00
_cell_angle_gamma 90.00
loop_
_atom_site_label
_atom_site_type_symbol
_atom_site_fract_x
_atom_site_fract_y
_atom_site_fract_z
Au1 Au 0.000 0.000 0.000
Au2 Au 0.000 0.250 0.500
```

Repeat the eleventh record exactly.
Simulated PXRD pattern of NdH7C8SO9 for Cu Kα, from the GGA-PBE geometry in OQMD.

Most intense lines, 2θ = 10–90°, in order of rising 2θ:
2θ = 15.1°, rel. 814
2θ = 15.5°, rel. 582
2θ = 15.9°, rel. 252
2θ = 18.6°, rel. 734
2θ = 20.6°, rel. 236
2θ = 21.6°, rel. 1000
2θ = 27.3°, rel. 252
2θ = 30.1°, rel. 475

Structural model:
```
data_NdH7C8SO9
_chemical_formula_sum 'Nd2 H14 C16 S2 O18'
_symmetry_space_group_name_H-M 'P -1'
_symmetry_Int_Tables_number 2
_symmetry_space_group_name_Hall '-P 1'
_cell_length_a 6.289
_cell_length_b 8.694
_cell_length_c 10.626
_cell_angle_alpha 91.51
_cell_angle_beta 99.61
_cell_angle_gamma 107.88
loop_
_atom_site_label
_atom_site_type_symbol
_atom_site_fract_x
_atom_site_fract_y
_atom_site_fract_z
Nd1 Nd 0.149 0.238 0.110
H1 H 0.178 0.151 0.555
H2 H 0.326 0.951 0.114
H3 H 0.339 0.647 0.783
H4 H 0.352 0.646 0.582
H5 H 0.389 0.590 0.358
H6 H 0.410 0.498 0.843
H7 H 0.452 0.907 0.818
C1 C 0.018 0.226 0.699
C2 C 0.026 0.769 0.655
C3 C 0.047 0.201 0.575
C4 C 0.084 0.752 0.527
C5 C 0.137 0.696 0.275
C6 C 0.162 0.652 0.142
C7 C 0.247 0.682 0.504
C8 C 0.269 0.651 0.378
S1 S 0.215 0.176 0.819
O1 O 0.094 0.046 0.893
O2 O 0.154 0.750 0.758
O3 O 0.159 0.203 0.339
O4 O 0.166 0.755 0.057
O5 O 0.179 0.514 0.120
O6 O 0.317 0.323 0.911
O7 O 0.372 0.131 0.752
O8 O 0.392 0.070 0.136
O9 O 0.463 0.597 0.797
```